For Gd3Tl4Sn3, a structure optimized by DFT (GGA-PBE) gives the theoretical powder X-ray diffraction pattern in this record (Cu Ka).

Main lines, most intense first (2θ = 10–80°):
two_theta	d (Å)	I/Imax
32.6	2.746	100
38.0	2.370	17
38.6	2.331	17
36.9	2.437	16
65.2	1.431	14
66.1	1.413	13
55.3	1.662	12
63.8	1.460	11
54.0	1.699	11
68.3	1.373	11

Atomic structure:
a = 12.4075 Å, b = 12.4075 Å, c = 4.7408 Å
α = 90.00°, β = 90.00°, γ = 158.34°
Fractional coordinates of all 10 atoms:
Gd1 0.0000 0.0000 0.0000
Gd2 0.1889 0.8111 0.0000
Gd3 0.8111 0.1889 0.0000
Tl1 0.0995 0.9005 0.5000
Tl2 0.2936 0.7064 0.5000
Tl3 0.7064 0.2936 0.5000
Tl4 0.9005 0.0995 0.5000
Sn1 0.4031 0.5969 0.0000
Sn2 0.5000 0.5000 0.5000
Sn3 0.5969 0.4031 0.0000


For Cd2BiAsO6, a structure optimized by DFT (GGA-PBE) gives the theoretical powder X-ray diffraction pattern in this record (Cu Ka).

Main lines, most intense first (2θ = 10–80°):
two_theta	d (Å)	I/Imax
30.3	2.949	100
29.7	3.005	49
60.8	1.524	27
32.7	2.742	22
46.3	1.962	20
49.8	1.832	17
45.1	2.011	16
20.6	4.322	16
56.8	1.620	15
31.9	2.808	14

Atomic structure:
a = 7.3372 Å, b = 7.3372 Å, c = 5.4841 Å
α = 90.00°, β = 90.00°, γ = 107.54°
Fractional coordinates of all 20 atoms:
Cd1 0.0920 0.2990 0.0000
Cd2 0.2990 0.0920 0.5000
Cd3 0.7010 0.9080 0.0000
Cd4 0.9080 0.7010 0.5000
Bi1 0.4024 0.5976 0.4916
Bi2 0.5976 0.4024 0.9916
As1 0.1809 0.8191 0.0380
As2 0.8191 0.1809 0.5380
O1 0.0468 0.9532 0.1619
O2 0.0813 0.5941 0.1588
O3 0.1884 0.8116 0.7226
O4 0.3419 0.3486 0.7517
O5 0.3486 0.3419 0.2517
O6 0.4059 0.9187 0.1588
O7 0.5941 0.0813 0.6588
O8 0.6514 0.6581 0.7517
O9 0.6581 0.6514 0.2517
O10 0.8116 0.1884 0.2226
O11 0.9187 0.4059 0.6588
O12 0.9532 0.0468 0.6619


For NiBr2Cl2, a structure optimized by DFT (GGA-PBE) gives the theoretical powder X-ray diffraction pattern in this record (Cu Ka).

Main lines, most intense first (2θ = 10–80°):
two_theta	d (Å)	I/Imax
32.9	2.723	100
14.8	5.974	64
22.9	3.891	39
33.9	2.641	29
35.3	2.545	27
16.3	5.442	26
41.8	2.159	25
52.5	1.742	23
43.6	2.077	18
60.1	1.540	17

Atomic structure:
a = 5.4550 Å, b = 3.5975 Å, c = 5.9888 Å
α = 90.00°, β = 93.98°, γ = 90.00°
Fractional coordinates of all 5 atoms:
Ni1 0.0000 0.0000 0.0000
Br1 0.2138 0.5000 0.8230
Br2 0.7862 0.5000 0.1770
Cl1 0.2847 0.0000 0.2856
Cl2 0.7153 0.0000 0.7144


For CsEr2Cu3SeS4, a structure optimized by DFT (GGA-PBE) gives the theoretical powder X-ray diffraction pattern in this record (Cu Ka).

Main lines, most intense first (2θ = 10–80°):
two_theta	d (Å)	I/Imax
28.2	3.164	100
31.8	2.812	97
29.9	2.984	93
25.9	3.440	76
31.4	2.853	69
48.2	1.887	68
45.6	1.988	68
36.5	2.462	58
39.2	2.295	56
12.6	7.027	52

Atomic structure:
a = 7.3027 Å, b = 7.3027 Å, c = 16.8703 Å
α = 90.00°, β = 90.00°, γ = 148.40°
Fractional coordinates of all 22 atoms:
Cs1 0.0616 0.9384 0.7500
Cs2 0.9384 0.0616 0.2500
Er1 0.1901 0.8099 0.0887
Er2 0.1901 0.8099 0.4113
Er3 0.8099 0.1901 0.5887
Er4 0.8099 0.1901 0.9113
Cu1 0.3512 0.6488 0.7500
Cu2 0.4163 0.5837 0.0372
Cu3 0.4163 0.5837 0.4628
Cu4 0.5837 0.4163 0.5372
Cu5 0.5837 0.4163 0.9628
Cu6 0.6488 0.3512 0.2500
Se1 0.2378 0.7622 0.2500
Se2 0.7622 0.2378 0.7500
S1 0.1703 0.8297 0.5682
S2 0.1703 0.8297 0.9318
S3 0.4372 0.5628 0.6079
S4 0.4372 0.5628 0.8921
S5 0.5628 0.4372 0.1079
S6 0.5628 0.4372 0.3921
S7 0.8297 0.1703 0.0682
S8 0.8297 0.1703 0.4318


For SmDy2Te3, a structure optimized by DFT (GGA-PBE) gives the theoretical powder X-ray diffraction pattern in this record (Cu Ka).

Main lines, most intense first (2θ = 10–80°):
two_theta	d (Å)	I/Imax
28.8	3.096	100
41.3	2.186	38
41.2	2.193	38
51.1	1.786	20
75.2	1.263	19
67.8	1.383	17
67.6	1.387	17
59.7	1.548	13
50.9	1.793	7
74.9	1.267	6

Atomic structure:
a = 4.3721 Å, b = 4.3721 Å, c = 10.7607 Å
α = 90.00°, β = 90.00°, γ = 120.00°
Fractional coordinates of all 6 atoms:
Sm1 0.0000 0.0000 0.0000
Dy1 0.3333 0.6667 0.6642
Dy2 0.6667 0.3333 0.3358
Te1 0.0000 0.0000 0.5000
Te2 0.3333 0.6667 0.1737
Te3 0.6667 0.3333 0.8263


For InGaFe2, a structure optimized by DFT (GGA-PBE) gives the theoretical powder X-ray diffraction pattern in this record (Cu Ka).

Main lines, most intense first (2θ = 10–80°):
two_theta	d (Å)	I/Imax
41.5	2.176	100
75.7	1.257	27
60.1	1.539	15
29.0	3.078	9
32.5	2.753	7
68.1	1.376	5
51.4	1.777	3
62.2	1.493	3
44.1	2.052	2
77.5	1.231	2

Atomic structure:
a = 6.1558 Å, b = 6.1558 Å, c = 6.1558 Å
α = 90.00°, β = 90.00°, γ = 90.00°
Fractional coordinates of all 16 atoms:
In1 0.0000 0.0000 0.0000
In2 0.0000 0.0000 0.5000
In3 0.0000 0.5000 0.0000
In4 0.5000 0.0000 0.0000
Ga1 0.0000 0.5000 0.5000
Ga2 0.5000 0.0000 0.5000
Ga3 0.5000 0.5000 0.0000
Ga4 0.5000 0.5000 0.5000
Fe1 0.2734 0.2734 0.2734
Fe2 0.2734 0.2734 0.7266
Fe3 0.2734 0.7266 0.2734
Fe4 0.2734 0.7266 0.7266
Fe5 0.7266 0.2734 0.2734
Fe6 0.7266 0.2734 0.7266
Fe7 0.7266 0.7266 0.2734
Fe8 0.7266 0.7266 0.7266